Entry 1:
The following is a theoretical XRD peak list of PrAgPb. It was derived from a crystal structure in the Materials Project, relaxed with PBE, using λ = 1.5418 Å (Cu Kα).

Largest 10 diffraction maxima, by intensity, 15° ≤ 2θ ≤ 90°:
2θ = 31.1°, intensity 1000, hkl 1 0 2
2θ = 36.5°, intensity 883, hkl 1 1 0
2θ = 48.7°, intensity 288, hkl 2 0 2
2θ = 23.8°, intensity 276, hkl 1 0 1
2θ = 62.4°, intensity 274, hkl 2 1 2
2θ = 40.7°, intensity 270, hkl 1 0 3
2θ = 60.7°, intensity 184, hkl 1 1 4
2θ = 65.7°, intensity 158, hkl 3 0 0
2θ = 63.6°, intensity 120, hkl 1 0 5
2θ = 68.6°, intensity 117, hkl 2 1 3

Atomic structure:
```
PrAgPb
1.0
4.9231 0.0000 0.0000
-2.4615 4.2635 0.0000
0.0000 0.0000 7.7826
Pr Ag Pb
2 2 2
Cartesian
0.0000 0.0000 0.0000 Pr
0.0000 0.0000 3.8913 Pr
0.0000 2.8423 1.4989 Ag
2.4615 1.4212 5.3903 Ag
0.0000 2.8423 6.0688 Pb
2.4615 1.4212 2.1775 Pb
```


Entry 2:
The following is a theoretical XRD peak list of AgSb3PbS6. It was derived from a crystal structure in the Materials Project, relaxed with PBE, using λ = 1.5418 Å (Cu Kα).

Largest 10 diffraction maxima, by intensity, 15° ≤ 2θ ≤ 90°:
2θ = 16.2°, intensity 1000, hkl 0 1 0
2θ = 22.2°, intensity 717, hkl 2 1 -1
2θ = 21.4°, intensity 634, hkl 1 1 1
2θ = 26.4°, intensity 576, hkl 2 1 -3
2θ = 25.9°, intensity 459, hkl 3 0 0
2θ = 33.2°, intensity 306, hkl 4 0 -4
2θ = 26.8°, intensity 266, hkl 1 0 -4
2θ = 39.1°, intensity 256, hkl 2 2 -3
2θ = 27.8°, intensity 256, hkl 2 0 2
2θ = 38.3°, intensity 247, hkl 2 1 3

Atomic structure:
```
AgSb3PbS6
1.0
11.7668 0.0000 0.0000
0.0000 5.4633 0.0000
-6.5484 0.0000 11.9203
Ag Sb Pb S
2 6 2 12
Cartesian
0.0000 0.6322 0.0000 Ag
-3.2742 4.8311 5.9601 Ag
4.7460 1.1579 3.9212 Sb
1.4718 4.3054 9.8813 Sb
3.3050 1.1966 7.2234 Sb
6.5792 4.2666 1.2633 Sb
9.7352 0.7558 3.0959 Sb
6.4610 4.7075 9.0560 Sb
-2.0057 0.8895 9.6809 Pb
1.2686 4.5738 3.7207 Pb
-4.0576 0.8297 7.6955 S
-0.7834 4.6336 1.7354 S
-4.2591 0.1066 11.0864 S
-0.9848 5.3567 5.1263 S
2.3564 1.6822 4.1323 S
-0.9178 3.7810 10.0924 S
1.0942 0.2231 7.8523 S
4.3685 5.2401 1.8922 S
1.2268 0.5061 11.7932 S
4.5011 4.9572 5.8331 S
4.2930 0.4838 9.4657 S
7.5672 4.9794 3.5056 S
```


Entry 3:
The following is a theoretical XRD peak list of AgSb3PbS6. It was derived from a crystal structure in the Materials Project, relaxed with PBE, using λ = 1.5418 Å (Cu Kα).

Largest 10 diffraction maxima, by intensity, 15° ≤ 2θ ≤ 90°:
2θ = 23.7°, intensity 1000, hkl 2 1 -1
2θ = 15.5°, intensity 826, hkl 0 0 2
2θ = 34.1°, intensity 592, hkl 1 1 3
2θ = 32.3°, intensity 573, hkl 4 0 -2
2θ = 24.6°, intensity 480, hkl 2 1 -2
2θ = 22.8°, intensity 477, hkl 1 1 1
2θ = 27.8°, intensity 475, hkl 2 1 -3
2θ = 29.3°, intensity 374, hkl 0 1 3
2θ = 28.0°, intensity 329, hkl 1 0 -4
2θ = 36.0°, intensity 313, hkl 0 2 1

Atomic structure:
```
AgSb3PbS6
1.0
11.1276 0.0000 0.0000
0.0000 5.1087 0.0000
-6.4027 0.0000 11.3986
Ag Sb Pb S
2 6 2 12
Cartesian
0.0000 0.8292 0.0000 Ag
-3.2013 4.2795 5.6993 Ag
5.8600 0.5811 0.6591 Sb
2.6587 4.5276 6.3584 Sb
5.2882 1.5593 4.1206 Sb
2.0868 3.5494 9.8199 Sb
5.5936 1.2699 7.6883 Sb
8.7949 3.8388 1.9890 Sb
-0.5886 1.7208 6.1746 Pb
2.6128 3.3879 0.4753 Pb
-3.1367 0.8371 7.4634 S
0.0647 4.2716 1.7640 S
-2.7310 0.9089 11.0596 S
0.4703 4.1999 5.3603 S
2.8984 0.9652 4.4059 S
-0.3030 4.1435 10.1052 S
1.7639 1.9645 8.0096 S
4.9652 3.1442 2.3103 S
8.5319 1.8627 0.3239 S
5.3306 3.2461 6.0232 S
5.4032 2.5436 9.7545 S
8.6045 2.5651 4.0552 S
```